(1)
UCuH8Pt2: calculated PXRD pattern (a wavelength of 1.5418 Å), based on a PBE-relaxed structure.
No peak broadening, texture or thermal motion is included.

Atomic structure:
```
UCuH8Pt2
1.0
4.842 0.000 0.000
-2.421 4.194 0.000
0.000 0.000 6.184
U Cu H Pt
1 1 8 2
Direct
0.000 0.000 0.000
0.000 0.000 0.500
0.159 0.317 0.325
0.159 0.841 0.325
0.317 0.159 0.675
0.333 0.667 0.894
0.667 0.333 0.106
0.683 0.841 0.325
0.841 0.159 0.675
0.841 0.683 0.675
0.333 0.667 0.159
0.667 0.333 0.841
```

Top 10 peaks for 10 to 90 degrees two-theta, most intense first:
36.09°, d 2.489, I = 100
37.13°, d 2.421, I = 93
14.32°, d 6.184, I = 86
25.67°, d 3.471, I = 85
39.99°, d 2.255, I = 45
66.26°, d 1.411, I = 35
52.75°, d 1.735, I = 35
49.26°, d 1.850, I = 23
64.21°, d 1.451, I = 20
88.31°, d 1.107, I = 18



(2)
Zn2CuHPt: calculated PXRD pattern (a wavelength of 1.5418 Å), based on a PBE-relaxed structure.
No peak broadening, texture or thermal motion is included.

Atomic structure:
```
Zn2CuHPt
1.0
4.132 0.000 0.000
0.000 4.132 0.000
0.000 0.000 3.558
Zn Cu H Pt
2 1 1 1
Direct
0.000 0.500 0.000
0.500 0.000 0.000
0.000 0.000 0.500
0.500 0.500 0.000
0.500 0.500 0.500
```

Top 10 peaks for 10 to 90 degrees two-theta, most intense first:
39.92°, d 2.258, I = 100
43.82°, d 2.066, I = 39
77.88°, d 1.227, I = 27
21.50°, d 4.132, I = 23
69.75°, d 1.348, I = 19
33.23°, d 2.696, I = 15
63.70°, d 1.461, I = 12
51.36°, d 1.779, I = 12
86.12°, d 1.129, I = 11
89.09°, d 1.099, I = 10



(3)
PuCuSbH: calculated PXRD pattern (a wavelength of 1.5418 Å), based on a PBE-relaxed structure.
No peak broadening, texture or thermal motion is included.

Atomic structure:
```
PuCuSbH
1.0
4.315 0.000 0.000
-2.158 3.737 0.000
0.000 0.000 4.323
Pu Cu Sb H
1 1 1 1
Direct
0.000 0.000 0.000
0.667 0.333 0.588
0.333 0.667 0.466
0.667 0.333 0.975
```

Top 10 peaks for 10 to 90 degrees two-theta, most intense first:
31.65°, d 2.827, I = 100
41.85°, d 2.158, I = 49
53.42°, d 1.715, I = 23
70.08°, d 1.343, I = 21
60.64°, d 1.527, I = 21
23.81°, d 3.737, I = 19
48.68°, d 1.871, I = 14
69.98°, d 1.344, I = 10
66.12°, d 1.413, I = 7
76.46°, d 1.246, I = 7



(4)
RbCu2H: calculated PXRD pattern (a wavelength of 1.5418 Å), based on a PBE-relaxed structure.
No peak broadening, texture or thermal motion is included.

Atomic structure:
```
RbCu2H
1.0
5.506 0.000 0.000
0.000 5.506 0.000
0.000 0.000 9.550
Rb Cu H
4 8 4
Direct
0.000 0.250 0.375
0.000 0.750 0.625
0.500 0.250 0.125
0.500 0.750 0.875
0.000 0.000 0.000
0.000 0.500 0.000
0.250 0.250 0.750
0.250 0.750 0.250
0.500 0.000 0.500
0.500 0.500 0.500
0.750 0.250 0.750
0.750 0.750 0.250
0.000 0.250 0.875
0.000 0.750 0.125
0.500 0.250 0.625
0.500 0.750 0.375
```

Top 10 peaks for 10 to 90 degrees two-theta, most intense first:
37.72°, d 2.385, I = 100
32.50°, d 2.755, I = 58
61.47°, d 1.508, I = 36
29.60°, d 3.017, I = 28
50.59°, d 1.804, I = 19
68.08°, d 1.377, I = 13
80.48°, d 1.193, I = 9
77.52°, d 1.231, I = 9
56.23°, d 1.636, I = 9
89.55°, d 1.095, I = 9



(5)
RbCu4H7: calculated PXRD pattern (a wavelength of 1.5418 Å), based on a PBE-relaxed structure.
No peak broadening, texture or thermal motion is included.

Atomic structure:
```
RbCu4H7
1.0
3.546 0.000 0.000
0.000 13.216 0.000
0.000 0.000 5.210
Rb Cu H
2 8 14
Direct
0.250 0.250 0.149
0.750 0.750 0.851
0.250 0.000 0.809
0.250 0.500 0.809
0.250 0.624 0.360
0.250 0.876 0.360
0.750 0.000 0.191
0.750 0.124 0.640
0.750 0.376 0.640
0.750 0.500 0.191
0.250 0.118 0.679
0.250 0.382 0.679
0.250 0.518 0.156
0.250 0.613 0.677
0.250 0.750 0.301
0.250 0.887 0.677
0.250 0.982 0.156
0.750 0.018 0.844
0.750 0.113 0.323
0.750 0.250 0.699
0.750 0.387 0.323
0.750 0.482 0.844
0.750 0.618 0.321
0.750 0.882 0.321
```

Top 10 peaks for 10 to 90 degrees two-theta, most intense first:
33.44°, d 2.680, I = 100
32.08°, d 2.790, I = 54
26.50°, d 3.364, I = 50
32.41°, d 2.763, I = 49
31.25°, d 2.862, I = 40
41.16°, d 2.193, I = 36
35.11°, d 2.556, I = 36
51.55°, d 1.773, I = 35
45.32°, d 2.001, I = 33
51.92°, d 1.761, I = 28



(6)
Cu2H3Rh: calculated PXRD pattern (a wavelength of 1.5418 Å), based on a PBE-relaxed structure.
No peak broadening, texture or thermal motion is included.

Atomic structure:
```
Cu2H3Rh
1.0
2.899 0.000 0.000
1.410 4.825 0.000
0.024 0.015 6.986
Cu H Rh
4 6 2
Direct
0.126 0.245 0.454
0.160 0.179 0.093
0.840 0.821 0.907
0.874 0.755 0.546
0.149 0.191 0.841
0.319 0.865 0.395
0.385 0.735 0.740
0.615 0.265 0.260
0.681 0.135 0.605
0.851 0.809 0.159
0.442 0.619 0.216
0.558 0.381 0.784
```

Top 10 peaks for 10 to 90 degrees two-theta, most intense first:
43.15°, d 2.096, I = 100
41.51°, d 2.176, I = 84
39.53°, d 2.279, I = 78
41.76°, d 2.163, I = 69
41.55°, d 2.173, I = 64
31.62°, d 2.830, I = 57
34.88°, d 2.572, I = 50
34.68°, d 2.586, I = 49
42.14°, d 2.145, I = 48
45.66°, d 1.987, I = 42



(7)
CuH8Rh3: calculated PXRD pattern (a wavelength of 1.5418 Å), based on a PBE-relaxed structure.
No peak broadening, texture or thermal motion is included.

Atomic structure:
```
CuH8Rh3
1.0
5.387 -1.713 0.000
5.387 1.713 0.000
-3.260 0.000 4.974
Cu H Rh
1 8 3
Direct
0.000 0.000 0.000
0.115 0.115 0.371
0.115 0.115 0.861
0.208 0.208 0.710
0.218 0.218 0.221
0.442 0.442 0.942
0.535 0.535 0.502
0.785 0.785 0.047
0.814 0.814 0.507
0.013 0.013 0.514
0.317 0.317 0.071
0.318 0.318 0.567
```

Top 10 peaks for 10 to 90 degrees two-theta, most intense first:
41.44°, d 2.179, I = 100
39.91°, d 2.259, I = 77
27.85°, d 3.203, I = 75
36.12°, d 2.487, I = 50
36.27°, d 2.477, I = 49
19.70°, d 4.506, I = 36
66.37°, d 1.408, I = 33
40.02°, d 2.253, I = 23
53.48°, d 1.713, I = 19
66.65°, d 1.403, I = 17



(8)
Cu3H9Rh4: calculated PXRD pattern (a wavelength of 1.5418 Å), based on a PBE-relaxed structure.
No peak broadening, texture or thermal motion is included.

Atomic structure:
```
Cu3H9Rh4
1.0
2.298 1.327 6.764
-2.298 1.327 6.764
0.000 -2.654 6.764
Cu H Rh
3 9 4
Direct
0.000 0.000 0.000
0.166 0.166 0.166
0.584 0.584 0.584
0.052 0.813 0.510
0.115 0.355 0.654
0.183 0.571 0.988
0.355 0.654 0.115
0.510 0.052 0.813
0.571 0.988 0.183
0.654 0.115 0.355
0.813 0.510 0.052
0.988 0.183 0.571
0.303 0.303 0.303
0.450 0.450 0.450
0.717 0.717 0.717
0.865 0.865 0.865
```

Top 10 peaks for 10 to 90 degrees two-theta, most intense first:
39.20°, d 2.298, I = 100
38.41°, d 2.343, I = 94
56.05°, d 1.641, I = 31
70.52°, d 1.335, I = 30
71.05°, d 1.327, I = 17
68.94°, d 1.362, I = 12
84.27°, d 1.149, I = 10
42.25°, d 2.139, I = 8
24.02°, d 3.706, I = 7
82.29°, d 1.172, I = 6